# GaBiSeO2
Theoretical X-ray diffraction stick pattern, Cu Kα (weighted mean of Kα1 and Kα2). Input: a GGA-PBE-relaxed structure.

Structural model:
```
GaBiSeO2
1.0
2.8402 -5.7908 0.0000
2.8402 5.7908 0.0000
0.0000 0.0000 5.4926
Ga Bi Se O
2 2 2 4
direct
0.0213 0.9787 0.7500
0.9787 0.0213 0.2500
0.3722 0.6278 0.2500
0.6278 0.3722 0.7500
0.2405 0.7595 0.7500
0.7595 0.2405 0.2500
0.2392 0.2392 0.0000
0.2392 0.2392 0.5000
0.7608 0.7608 0.0000
0.7608 0.7608 0.5000
```

Main lines, low angle first (2θ = 5–70°):
2theta  I/Imax
22.31  100
27.94  46
31.50  41
32.43  51
32.61  38
38.94  49
42.13  16
43.46  27
45.39  45
45.97  42
54.27  15
65.95  15

=====

# Sr2GaBiO5
Theoretical X-ray diffraction stick pattern, Cu Kα (weighted mean of Kα1 and Kα2). Input: a GGA-PBE-relaxed structure.

Structural model:
```
Sr2GaBiO5
1.0
1.7016 -8.4095 0.0000
1.7016 8.4095 0.0000
0.0000 0.0000 9.9192
Sr Ga Bi O
4 2 2 10
direct
0.0991 0.9009 0.5000
0.1100 0.8900 0.1206
0.8900 0.1100 0.6206
0.9009 0.0991 0.0000
0.4480 0.5520 0.2704
0.5520 0.4480 0.7704
0.2236 0.7764 0.8310
0.7764 0.2236 0.3310
0.0391 0.9609 0.8602
0.2959 0.7041 0.4865
0.3458 0.6542 0.1864
0.3555 0.6445 0.8216
0.4964 0.5036 0.6091
0.5036 0.4964 0.1091
0.6445 0.3555 0.3216
0.6542 0.3458 0.6864
0.7041 0.2959 0.9865
0.9609 0.0391 0.3602
```

Main lines, low angle first (2θ = 5–70°):
2theta  I/Imax
10.52  26
17.88  26
20.79  62
27.82  64
28.23  36
29.02  40
32.06  100
32.35  21
33.21  58
38.33  86
41.93  59
56.13  48

=====

# Sr3Ga2BiO8
Theoretical X-ray diffraction stick pattern, Cu Kα (weighted mean of Kα1 and Kα2). Input: a GGA-PBE-relaxed structure.

Structural model:
```
Sr3Ga2BiO8
1.0
5.9191 0.0000 0.0000
-2.9596 5.1261 0.0000
0.0000 0.0000 7.3025
Sr Ga Bi O
3 2 1 8
direct
0.0000 0.0000 0.0000
0.3333 0.6667 0.6459
0.6667 0.3333 0.3541
0.3333 0.6667 0.1951
0.6667 0.3333 0.8049
0.0000 0.0000 0.5000
0.1699 0.3398 0.3133
0.1699 0.8301 0.3133
0.3333 0.6667 0.9536
0.3398 0.1699 0.6867
0.6602 0.8301 0.3133
0.6667 0.3333 0.0464
0.8301 0.1699 0.6867
0.8301 0.6602 0.6867
```

Main lines, low angle first (2θ = 5–70°):
2theta  I/Imax
12.12  23
17.30  16
21.18  16
30.05  84
30.20  100
39.18  9
41.05  10
43.12  45
53.26  17
53.58  54
62.46  14
62.79  17